Record 1
Structure and calculated powder diffractogram of Li2MnSiO4 (a PBE+U-relaxed structure; copper Kα).
Kinematic intensities with the Lorentz-polarization factor, no thermal factor.

Largest 10 diffraction maxima, by intensity, 15 to 90 degrees two-theta:
2θ/deg	Rel. int.
32.48	100
23.87	67
34.95	58
28.05	47
21.33	40
57.99	35
22.02	35
16.07	34
23.48	20
57.86	18

Cell and atoms:
```
data_Li2MnSiO4
_chemical_formula_sum 'Li8 Mn4 Si4 O16'
_space_group_name_H-M_alt 'P 1'
_space_group_IT_number 1
_space_group_name_Hall 'P 1'
_cell_length_a 5.1358
_cell_length_b 11.0102
_cell_length_c 8.1117
_cell_angle_alpha 90.00
_cell_angle_beta 128.20
_cell_angle_gamma 90.00
loop_
_atom_site_label
_atom_site_type_symbol
_atom_site_fract_x
_atom_site_fract_y
_atom_site_fract_z
Li1 Li 0.0337 0.0725 0.2367
Li2 Li 0.0337 0.4275 0.7367
Li3 Li 0.1884 0.1608 0.9986
Li4 Li 0.1884 0.3392 0.4986
Li5 Li 0.8116 0.6608 0.5014
Li6 Li 0.8116 0.8392 0.0014
Li7 Li 0.9663 0.5725 0.2633
Li8 Li 0.9663 0.9275 0.7633
Mn1 Mn 0.3011 0.6648 0.9967
Mn2 Mn 0.3011 0.8352 0.4967
Mn3 Mn 0.6989 0.1648 0.5033
Mn4 Mn 0.6989 0.3352 0.0033
Si1 Si 0.4422 0.0864 0.7525
Si2 Si 0.4422 0.4136 0.2525
Si3 Si 0.5578 0.5864 0.7475
Si4 Si 0.5578 0.9136 0.2475
O1 O 0.1272 0.0858 0.7599
O2 O 0.1272 0.4142 0.2599
O3 O 0.2373 0.6570 0.5380
O4 O 0.2373 0.8430 0.0380
O5 O 0.3193 0.1595 0.5355
O6 O 0.3193 0.3405 0.0355
O7 O 0.4407 0.0535 0.2446
O8 O 0.4407 0.4465 0.7446
O9 O 0.5593 0.5535 0.2554
O10 O 0.5593 0.9465 0.7554
O11 O 0.6807 0.6595 0.9645
O12 O 0.6807 0.8405 0.4645
O13 O 0.7627 0.1570 0.9620
O14 O 0.7627 0.3430 0.4620
O15 O 0.8728 0.5858 0.7401
O16 O 0.8728 0.9142 0.2401
```

Record 2
Structure and calculated powder diffractogram of Ba3TiFe2O9 (a PBE+U-relaxed structure; copper Kα).
Kinematic intensities with the Lorentz-polarization factor, no thermal factor.

Largest 10 diffraction maxima, by intensity, 15 to 90 degrees two-theta:
2θ/deg	Rel. int.
31.00	100
55.14	29
44.41	25
26.00	23
40.88	17
64.60	15
38.22	14
89.95	10
48.66	10
73.39	9

Cell and atoms:
```
data_Ba3TiFe2O9
_chemical_formula_sum 'Ba6 Ti2 Fe4 O18'
_space_group_name_H-M_alt 'P 1'
_space_group_IT_number 1
_space_group_name_Hall 'P 1'
_cell_length_a 5.7718
_cell_length_b 5.7718
_cell_length_c 14.1186
_cell_angle_alpha 90.00
_cell_angle_beta 90.00
_cell_angle_gamma 120.00
loop_
_atom_site_label
_atom_site_type_symbol
_atom_site_fract_x
_atom_site_fract_y
_atom_site_fract_z
Ba1 Ba 0.0000 0.0000 0.2463
Ba2 Ba 0.0000 0.0000 0.7537
Ba3 Ba 0.3333 0.6667 0.5934
Ba4 Ba 0.3333 0.6667 0.9106
Ba5 Ba 0.6667 0.3333 0.0894
Ba6 Ba 0.6667 0.3333 0.4066
Ti1 Ti 0.3333 0.6667 0.3509
Ti2 Ti 0.6667 0.3333 0.6491
Fe1 Fe 0.0000 0.0000 0.0000
Fe2 Fe 0.0000 0.0000 0.5000
Fe3 Fe 0.3333 0.6667 0.1566
Fe4 Fe 0.6667 0.3333 0.8434
O1 O 0.0362 0.5181 0.2455
O2 O 0.1675 0.3350 0.0816
O3 O 0.1675 0.8325 0.0816
O4 O 0.1699 0.3399 0.4169
O5 O 0.1699 0.8301 0.4169
O6 O 0.3350 0.1675 0.9184
O7 O 0.3399 0.1699 0.5831
O8 O 0.4819 0.5181 0.2455
O9 O 0.4819 0.9638 0.2455
O10 O 0.5181 0.0362 0.7545
O11 O 0.5181 0.4819 0.7545
O12 O 0.6601 0.8301 0.4169
O13 O 0.6650 0.8325 0.0816
O14 O 0.8301 0.1699 0.5831
O15 O 0.8301 0.6601 0.5831
O16 O 0.8325 0.1675 0.9184
O17 O 0.8325 0.6650 0.9184
O18 O 0.9638 0.4819 0.7545
```

Record 3
Structure and calculated powder diffractogram of Li3MnB2O6 (a PBE+U-relaxed structure; copper Kα).
Kinematic intensities with the Lorentz-polarization factor, no thermal factor.

Largest 10 diffraction maxima, by intensity, 15 to 90 degrees two-theta:
2θ/deg	Rel. int.
31.52	100
23.81	72
22.04	47
17.17	46
23.11	32
36.83	29
48.73	25
37.29	25
22.46	23
24.28	19

Cell and atoms:
```
data_Li3MnB2O6
_chemical_formula_sum 'Li6 Mn2 B4 O12'
_space_group_name_H-M_alt 'P 1'
_space_group_IT_number 1
_space_group_name_Hall 'P 1'
_cell_length_a 5.1666
_cell_length_b 6.3840
_cell_length_c 7.7839
_cell_angle_alpha 70.38
_cell_angle_beta 89.94
_cell_angle_gamma 88.89
loop_
_atom_site_label
_atom_site_type_symbol
_atom_site_fract_x
_atom_site_fract_y
_atom_site_fract_z
Li1 Li 0.1192 0.2262 0.4470
Li2 Li 0.1974 0.9272 0.7560
Li3 Li 0.3198 0.0667 0.1065
Li4 Li 0.6802 0.9333 0.8935
Li5 Li 0.8026 0.0728 0.2440
Li6 Li 0.8808 0.7738 0.5530
Mn1 Mn 0.4129 0.4192 0.7725
Mn2 Mn 0.5871 0.5808 0.2275
B1 B 0.1422 0.6634 0.1222
B2 B 0.3360 0.8290 0.4411
B3 B 0.6640 0.1710 0.5589
B4 B 0.8578 0.3366 0.8778
O1 O 0.1128 0.2942 0.9211
O2 O 0.1474 0.9726 0.3413
O3 O 0.2350 0.4973 0.2755
O4 O 0.2712 0.7037 0.6227
O5 O 0.3438 0.7889 0.0169
O6 O 0.4216 0.1858 0.6326
O7 O 0.5784 0.8142 0.3674
O8 O 0.6562 0.2111 0.9831
O9 O 0.7288 0.2963 0.3773
O10 O 0.7650 0.5027 0.7245
O11 O 0.8526 0.0274 0.6587
O12 O 0.8872 0.7058 0.0789
```

Record 4
Structure and calculated powder diffractogram of Li4MnCo5O12 (a PBE+U-relaxed structure; copper Kα).
Kinematic intensities with the Lorentz-polarization factor, no thermal factor.

Largest 10 diffraction maxima, by intensity, 15 to 90 degrees two-theta:
2θ/deg	Rel. int.
17.72	100
45.35	16
45.88	15
37.30	15
37.51	14
40.49	11
58.99	9
39.72	8
35.69	8
59.71	8

Cell and atoms:
```
data_Li4MnCo5O12
_chemical_formula_sum 'Li4 Mn1 Co5 O12'
_space_group_name_H-M_alt 'P 1'
_space_group_IT_number 1
_space_group_name_Hall 'P 1'
_cell_length_a 4.9543
_cell_length_b 4.9543
_cell_length_c 10.0149
_cell_angle_alpha 90.67
_cell_angle_beta 90.67
_cell_angle_gamma 118.95
loop_
_atom_site_label
_atom_site_type_symbol
_atom_site_fract_x
_atom_site_fract_y
_atom_site_fract_z
Li1 Li 0.1520 0.6610 0.7518
Li2 Li 0.3390 0.8480 0.2482
Li3 Li 0.6610 0.1520 0.7518
Li4 Li 0.8480 0.3390 0.2482
Mn1 Mn 0.5000 0.5000 0.0000
Co1 Co 0.0000 0.0000 0.5000
Co2 Co 0.1646 0.8354 0.0000
Co3 Co 0.3369 0.6631 0.5000
Co4 Co 0.6631 0.3369 0.5000
Co5 Co 0.8354 0.1646 0.0000
O1 O 0.0089 0.6852 0.3930
O2 O 0.1644 0.1644 0.9017
O3 O 0.1676 0.5067 0.1028
O4 O 0.3144 0.3144 0.3988
O5 O 0.3148 0.9911 0.6070
O6 O 0.4933 0.8324 0.8972
O7 O 0.5067 0.1676 0.1028
O8 O 0.6852 0.0089 0.3930
O9 O 0.6856 0.6856 0.6012
O10 O 0.8324 0.4933 0.8972
O11 O 0.8356 0.8356 0.0983
O12 O 0.9911 0.3148 0.6070
```

Record 5
Structure and calculated powder diffractogram of Cr3P6WO24 (a PBE+U-relaxed structure; copper Kα).
Kinematic intensities with the Lorentz-polarization factor, no thermal factor.

Largest 10 diffraction maxima, by intensity, 15 to 90 degrees two-theta:
2θ/deg	Rel. int.
20.14	100
24.01	96
28.99	66
20.64	64
32.18	48
35.86	26
36.15	24
56.59	21
32.03	21
53.00	20

Cell and atoms:
```
data_Cr3P6WO24
_chemical_formula_sum 'Cr3 P6 W1 O24'
_space_group_name_H-M_alt 'P 1'
_space_group_IT_number 1
_space_group_name_Hall 'P 1'
_cell_length_a 8.8236
_cell_length_b 8.8236
_cell_length_c 8.8236
_cell_angle_alpha 58.38
_cell_angle_beta 58.38
_cell_angle_gamma 58.38
loop_
_atom_site_label
_atom_site_type_symbol
_atom_site_fract_x
_atom_site_fract_y
_atom_site_fract_z
Cr1 Cr 0.0000 0.0000 0.0000
Cr2 Cr 0.2144 0.2144 0.2144
Cr3 Cr 0.4993 0.4993 0.4993
P1 P 0.1158 0.8240 0.3831
P2 P 0.3165 0.6058 0.8928
P3 P 0.3831 0.1158 0.8240
P4 P 0.6058 0.8928 0.3165
P5 P 0.8240 0.3831 0.1158
P6 P 0.8928 0.3165 0.6058
W1 W 0.7159 0.7159 0.7159
O1 O 0.0730 0.2990 0.4321
O2 O 0.0775 0.8491 0.2205
O3 O 0.1313 0.9962 0.3672
O4 O 0.1389 0.7793 0.9200
O5 O 0.2205 0.0775 0.8491
O6 O 0.2805 0.6407 0.4189
O7 O 0.2990 0.4321 0.0730
O8 O 0.3486 0.5769 0.7210
O9 O 0.3672 0.1313 0.9962
O10 O 0.4189 0.2805 0.6407
O11 O 0.4321 0.0730 0.2990
O12 O 0.4941 0.6385 0.8578
O13 O 0.5691 0.9340 0.7931
O14 O 0.5769 0.7210 0.3486
O15 O 0.6385 0.8578 0.4941
O16 O 0.6407 0.4189 0.2805
O17 O 0.7210 0.3486 0.5769
O18 O 0.7793 0.9200 0.1389
O19 O 0.7931 0.5691 0.9340
O20 O 0.8491 0.2205 0.0775
O21 O 0.8578 0.4941 0.6385
O22 O 0.9200 0.1389 0.7793
O23 O 0.9340 0.7931 0.5691
O24 O 0.9962 0.3672 0.1313
```